1.
Computed PXRD pattern of CdNi2Pd9 for Cu Kα, from a cell relaxed with GGA-PBE.
Intensities are scaled so that the largest is 100.

Top 10 peaks for 2θ = 5–70°, by angle:
- 2θ 22.65, 3.925 Å, I = 1
- 2θ 23.89, 3.725 Å, I = 1
- 2θ 32.25, 2.775 Å, I = 1
- 2θ 35.76, 2.511 Å, I = 2
- 2θ 38.25, 2.353 Å, I = 1
- 2θ 39.78, 2.266 Å, I = 100
- 2θ 44.89, 2.019 Å, I = 1
- 2θ 46.26, 1.963 Å, I = 48
- 2θ 61.51, 1.508 Å, I = 1
- 2θ 67.49, 1.388 Å, I = 29

Crystal structure
Cell lengths 3.9268, 3.9268, 11.7650 Å; angles 90.00, 90.00, 90.00 degrees
Sites, in units of the cell vectors:
1 Cd 0.0000 0.0000 0.0000
2 Ni 0.0000 0.0000 0.3400
3 Ni 0.0000 0.0000 0.6600
4 Pd 0.0000 0.5000 0.1786
5 Pd 0.0000 0.5000 0.5000
6 Pd 0.0000 0.5000 0.8214
7 Pd 0.5000 0.0000 0.1786
8 Pd 0.5000 0.0000 0.5000
9 Pd 0.5000 0.0000 0.8214
10 Pd 0.5000 0.5000 0.0000
11 Pd 0.5000 0.5000 0.3396
12 Pd 0.5000 0.5000 0.6604


2.
Computed PXRD pattern of Mn2Ni9N8 for Cu Kα, from a cell relaxed with GGA-PBE.
Intensities are scaled so that the largest is 100.

Top 10 peaks for 2θ = 5–70°, by angle:
- 2θ 34.46, 2.603 Å, I = 26
- 2θ 35.99, 2.495 Å, I = 23
- 2θ 37.43, 2.403 Å, I = 24
- 2θ 37.77, 2.382 Å, I = 94
- 2θ 40.77, 2.213 Å, I = 53
- 2θ 43.51, 2.080 Å, I = 100
- 2θ 43.80, 2.067 Å, I = 41
- 2θ 44.80, 2.023 Å, I = 20
- 2θ 47.51, 1.914 Å, I = 20
- 2θ 57.67, 1.599 Å, I = 21

Crystal structure
Cell lengths 7.8560, 7.8560, 5.8371 Å; angles 105.88, 105.88, 30.71 degrees
Sites, in units of the cell vectors:
1 Mn 0.1827 0.1827 0.2088
2 Mn 0.8173 0.8173 0.7912
3 Ni 0.0231 0.0231 0.2824
4 Ni 0.2128 0.2128 0.8096
5 Ni 0.3418 0.3418 0.5344
6 Ni 0.3994 0.3994 0.0114
7 Ni 0.5000 0.5000 0.5000
8 Ni 0.6006 0.6006 0.9886
9 Ni 0.6582 0.6582 0.4656
10 Ni 0.7872 0.7872 0.1904
11 Ni 0.9769 0.9769 0.7176
12 N 0.0990 0.0990 0.9311
13 N 0.1503 0.1503 0.4762
14 N 0.2955 0.2955 0.1733
15 N 0.4636 0.4636 0.7651
16 N 0.5364 0.5364 0.2349
17 N 0.7045 0.7045 0.8267
18 N 0.8497 0.8497 0.5238
19 N 0.9010 0.9010 0.0689